(1)
Diffraction record for CuP2H4O4. The powder diffraction line list is theoretical, not measured: it uses a DFT-relaxed cell (PBE, Alexandria) and Cu Kα, 1.54184 Å.

Cell and atoms:
a b c (Å): 6.6566 5.4640 7.3233
angles (deg): 90.00 90.00 90.00
Space group Pmma (No. 51)
One atom of each set of equivalent atoms:
Cu  0.0000  0.0000  0.0000 x2
P  0.2500  0.0000  0.3655 x2
P  0.2500  0.5000  0.8559 x2
H  0.0810  0.5000  0.7385 x4
H  0.2500  0.2039  0.4851 x4
O  0.0505  0.0000  0.2618 x4
O  0.2500  0.2612  0.9658 x4

Most intense lines, 2θ = 10–90°, in order of rising 2θ:
2theta	Rel. int.
12.09	100
16.22	57
24.33	41
27.81	19
31.47	21
32.78	17
33.83	44
40.47	17
44.66	15
67.74	13

(2)
Diffraction record for CuP2H4O4. The powder diffraction line list is theoretical, not measured: it uses a DFT-relaxed cell (PBE, Alexandria) and Cu Kα, 1.54184 Å.

Cell and atoms:
a b c (Å): 7.3046 5.6108 6.4254
angles (deg): 90.00 99.09 90.00
Space group P2_1/c (No. 14)
One atom of each set of equivalent atoms:
Cu  0.0000  0.0000  0.0000 x2
P  0.2550  0.0612  0.6586 x4
H  0.2826  0.5602  0.9732 x4
H  0.4262  0.0408  0.7960 x4
O  0.1028  0.5809  0.2433 x4
O  0.2287  0.1716  0.1136 x4

Most intense lines, 2θ = 10–90°, in order of rising 2θ:
2theta	Rel. int.
12.27	100
20.05	14
21.14	13
25.62	65
28.90	26
30.94	12
31.90	15
34.30	11
34.42	22
45.85	10